1.
Starting from DFT lattice parameters and positions (GGA-PBE), the PXRD pattern of Cs3Pd4Au2 was simulated for a wavelength of 1.5418 Å.
No peak broadening, texture or thermal motion is included.

Cell: 6.815 6.815 9.214 Å, 106.15 106.15 40.43°
Positions (direct):
Cs1 0.000 0.000 0.000
Cs2 0.365 0.365 0.633
Cs3 0.635 0.635 0.367
Pd1 0.079 0.079 0.635
Pd2 0.231 0.231 0.920
Pd3 0.769 0.769 0.080
Pd4 0.921 0.921 0.365
Au1 0.343 0.343 0.227
Au2 0.657 0.657 0.773

Largest 6 diffraction maxima, low angle first, 2θ = 15–90°:
| Position (°2θ) | d_spacing | Rel. int. |
| --- | --- | --- |
| 15.01 | 5.903 | 100 |
| 27.11 | 3.290 | 72 |
| 28.99 | 3.080 | 90 |
| 30.28 | 2.952 | 84 |
| 38.22 | 2.355 | 70 |
| 38.68 | 2.328 | 79 |

***

2.
Starting from DFT lattice parameters and positions (GGA-PBE), the PXRD pattern of Pm2FeSi3Ir4 was simulated for a wavelength of 1.5418 Å.
No peak broadening, texture or thermal motion is included.

Cell: 4.147 4.147 10.042 Å, 90.00 90.00 90.00°
Positions (direct):
Pm1 0.000 0.500 0.246
Pm2 0.500 0.000 0.754
Fe1 0.500 0.500 0.000
Si1 0.000 0.000 0.000
Si2 0.000 0.500 0.628
Si3 0.500 0.000 0.372
Ir1 0.000 0.000 0.500
Ir2 0.000 0.500 0.868
Ir3 0.500 0.000 0.132
Ir4 0.500 0.500 0.500

Largest 6 diffraction maxima, low angle first, 2θ = 15–90°:
| Position (°2θ) | d_spacing | Rel. int. |
| --- | --- | --- |
| 26.63 | 3.347 | 26 |
| 27.90 | 3.197 | 27 |
| 31.79 | 2.815 | 55 |
| 34.43 | 2.605 | 54 |
| 35.45 | 2.532 | 100 |
| 43.65 | 2.074 | 63 |

***

3.
Starting from DFT lattice parameters and positions (GGA-PBE), the PXRD pattern of Eu5SiCl6O4 was simulated for a wavelength of 1.5418 Å.
No peak broadening, texture or thermal motion is included.

Cell: 8.027 8.027 14.200 Å, 98.18 98.18 102.20°
Positions (direct):
Eu1 0.134 0.339 0.854
Eu2 0.164 0.734 0.478
Eu3 0.247 0.753 0.750
Eu4 0.266 0.836 0.022
Eu5 0.339 0.134 0.354
Eu6 0.661 0.866 0.646
Eu7 0.734 0.164 0.978
Eu8 0.753 0.247 0.250
Eu9 0.836 0.266 0.522
Eu10 0.866 0.661 0.146
Si1 0.310 0.690 0.250
Si2 0.690 0.310 0.750
Cl1 0.000 0.000 0.000
Cl2 0.000 0.000 0.500
Cl3 0.020 0.980 0.750
Cl4 0.131 0.382 0.413
Cl5 0.177 0.397 0.672
Cl6 0.382 0.131 0.913
Cl7 0.397 0.177 0.172
Cl8 0.603 0.823 0.828
Cl9 0.618 0.869 0.087
Cl10 0.823 0.603 0.328
Cl11 0.869 0.618 0.587
Cl12 0.980 0.020 0.250
O1 0.172 0.708 0.154
O2 0.206 0.631 0.889
O3 0.292 0.828 0.346
O4 0.369 0.794 0.611
O5 0.631 0.206 0.389
O6 0.708 0.172 0.654
O7 0.794 0.369 0.111
O8 0.828 0.292 0.846

Largest 6 diffraction maxima, low angle first, 2θ = 15–90°:
| Position (°2θ) | d_spacing | Rel. int. |
| --- | --- | --- |
| 15.58 | 5.689 | 85 |
| 18.69 | 4.748 | 54 |
| 23.04 | 3.860 | 77 |
| 24.18 | 3.680 | 69 |
| 27.99 | 3.187 | 100 |
| 34.02 | 2.636 | 88 |

***

4.
Starting from DFT lattice parameters and positions (GGA-PBE), the PXRD pattern of Pm4Zn3Os was simulated for a wavelength of 1.5418 Å.
No peak broadening, texture or thermal motion is included.

Cell: 3.575 3.575 14.930 Å, 90.00 90.00 90.00°
Positions (direct):
Pm1 0.000 0.000 0.114
Pm2 0.000 0.000 0.375
Pm3 0.000 0.000 0.625
Pm4 0.000 0.000 0.886
Zn1 0.500 0.500 0.251
Zn2 0.500 0.500 0.500
Zn3 0.500 0.500 0.749
Os1 0.500 0.500 0.000

Largest 6 diffraction maxima, low angle first, 2θ = 15–90°:
| Position (°2θ) | d_spacing | Rel. int. |
| --- | --- | --- |
| 34.75 | 2.582 | 100 |
| 35.51 | 2.528 | 48 |
| 51.10 | 1.787 | 17 |
| 61.79 | 1.501 | 17 |
| 63.28 | 1.470 | 35 |
| 73.34 | 1.291 | 10 |